Calculated powder X-ray diffraction pattern
Compound: BaSrTi2
Radiation: Cu Ka
Structure: a DFT-relaxed cell (GGA-PBE, Alexandria)
Lines closer than 0.1° are merged.

Cell lengths 7.863, 7.863, 7.863 Å; angles 90.00, 90.00, 90.00 degrees
Space group Fm-3m (No. 225)
Symmetry-distinct sites (fractional):
Ba1 0.000 0.000 0.000 (multiplicity 4)
Sr1 0.000 0.000 0.500 (multiplicity 4)
Ti1 0.250 0.250 0.250 (multiplicity 8)

Largest 8 diffraction maxima, sorted by position, 10 to 90 degrees two-theta:
2θ (°)	intensity
22.6	18
32.2	100
39.7	6
46.2	18
52.0	8
57.4	36
67.4	11
76.6	15